Starting from a DFT-relaxed cell (PBE, the Materials Project), the powder X-ray diffraction pattern of Sr10CuRu4O20 was calculated for Cu Kα X-rays.
No peak broadening, texture or thermal motion is included.

Main lines, in order of rising 2θ (2θ from 10° to 80°):
| 2θ/deg | I (rel.) | hkl |
| --- | --- | --- |
| 13.8 | 17 | 0 0 2 |
| 31.1 | 100 | 2 1 3 |
| 32.5 | 65 | 1 3 0 |
| 42.2 | 14 | 2 1 5 |
| 42.3 | 17 | 0 0 6 |
| 46.7 | 34 | 4 2 0 |
| 54.4 | 20 | 1 3 6 |
| 57.1 | 36 | 5 0 3 |
| 64.8 | 24 | 4 2 6 |
| 68.1 | 10 | 2 6 0 |

Crystal structure
```
data_Sr10CuRu4O20
_cell_length_a 8.707
_cell_length_b 8.707
_cell_length_c 12.816
_cell_angle_alpha 90.00
_cell_angle_beta 90.00
_cell_angle_gamma 90.00
_symmetry_space_group_name_H-M 'I 4/m'
_symmetry_Int_Tables_number 87
_symmetry_space_group_name_Hall '-I 4'
loop_
_atom_site_label
_atom_site_fract_x
_atom_site_fract_y
_atom_site_fract_z
Sr1 0.000 0.000 0.149
Sr2 0.097 0.292 0.354
Cu1 0.000 0.000 0.500
Ru1 0.096 0.300 0.000
O1 0.000 0.000 0.338
O2 0.000 0.500 0.000
O3 0.100 0.300 0.162
O4 0.104 0.792 0.500
O5 0.104 0.805 0.000
```

=====

Starting from a DFT-relaxed cell (PBE, the Materials Project), the powder X-ray diffraction pattern of Cu2SO4 was calculated for Cu Kα X-rays.
No peak broadening, texture or thermal motion is included.

Main lines, in order of rising 2θ (2θ from 10° to 80°):
| 2θ/deg | I (rel.) | hkl |
| --- | --- | --- |
| 20.2 | 12 | 0 2 2 |
| 23.7 | 13 | 0 0 4 |
| 27.6 | 100 | 1 1 3 |
| 33.0 | 19 | 0 4 0 |
| 36.3 | 12 | 1 3 3 |
| 36.7 | 26 | 1 1 5 |
| 41.0 | 16 | 2 0 2 |
| 42.6 | 18 | 2 2 0 |
| 47.5 | 11 | 1 1 7 |
| 49.8 | 15 | 1 5 3 |

Crystal structure
```
data_Cu2SO4
_cell_length_a 4.606
_cell_length_b 10.871
_cell_length_c 15.014
_cell_angle_alpha 90.00
_cell_angle_beta 90.00
_cell_angle_gamma 90.00
_symmetry_space_group_name_H-M 'F d d d'
_symmetry_Int_Tables_number 70
loop_
_symmetry_equiv_pos_as_xyz
'x,y,z'
'-x,-y,-z'
'-x+1/4,-y+1/4,z'
'x+1/4,y+1/4,-z'
'x,-y+1/4,-z+1/4'
'-x,y+1/4,z+1/4'
'-x+1/4,y,-z+1/4'
'x+1/4,-y,z+1/4'
'x,y+1/2,z+1/2'
'-x,-y+1/2,-z+1/2'
'-x+1/4,-y+3/4,z+1/2'
'x+1/4,y+3/4,-z+1/2'
'x,-y+3/4,-z+3/4'
'-x,y+3/4,z+3/4'
'-x+1/4,y+1/2,-z+3/4'
'x+1/4,-y+1/2,z+3/4'
'x+1/2,y,z+1/2'
'-x+1/2,-y,-z+1/2'
'-x+3/4,-y+1/4,z+1/2'
'x+3/4,y+1/4,-z+1/2'
'x+1/2,-y+1/4,-z+3/4'
'-x+1/2,y+1/4,z+3/4'
'-x+3/4,y,-z+3/4'
'x+3/4,-y,z+3/4'
'x+1/2,y+1/2,z'
'-x+1/2,-y+1/2,-z'
'-x+3/4,-y+3/4,z'
'x+3/4,y+3/4,-z'
'x+1/2,-y+3/4,-z+1/4'
'-x+1/2,y+3/4,z+1/4'
'-x+3/4,y+1/2,-z+1/4'
'x+3/4,-y+1/2,z+1/4'
loop_
_atom_site_label
_atom_site_fract_x
_atom_site_fract_y
_atom_site_fract_z
Cu1 0.125 0.125 0.323
S1 0.125 0.125 0.625
O1 0.060 0.297 0.934
```